(1)
Simulated X-ray powder pattern
Compound: CrP5O15
Radiation: Cu Kα (λ = 1.5418 Å)
Structure: a crystal structure in the Materials Project, relaxed with PBE+U
Kinematic intensities with the Lorentz-polarization factor, no thermal factor.

Crystal structure
```
data_CrP5O15
_cell_length_a 5.0909
_cell_length_b 13.7081
_cell_length_c 8.9459
_cell_angle_alpha 90.00
_cell_angle_beta 101.43
_cell_angle_gamma 90.00
_space_group_name_H-M_alt 'P 1 21/m 1'
_space_group_IT_number 11
loop_
_space_group_symop_operation_xyz
'x,y,z'
'-x,-y,-z'
'-x,y+1/2,-z'
'x,-y+1/2,z'
loop_
_atom_site_label
_atom_site_fract_x
_atom_site_fract_y
_atom_site_fract_z
Cr1 0.0000 0.0000 0.0000
P1 0.0454 0.2500 0.4992
P2 0.1545 0.5785 0.6880
P3 0.4965 0.6416 0.9802
O1 0.0028 0.5181 0.7891
O2 0.0599 0.1605 0.3853
O3 0.2020 0.7500 0.4309
O4 0.2050 0.1231 0.9999
O5 0.2819 0.2500 0.6320
O6 0.2872 0.5259 0.5801
O7 0.3411 0.5736 0.0632
O8 0.3671 0.6474 0.8036
O9 0.4583 0.7500 0.0378
```

Largest 8 diffraction maxima, by intensity, 2θ = 10–80°:
- hkl 1 0 -1, 4.761 Å, rel. 100
- hkl 0 0 1, 8.768 Å, rel. 86
- hkl 0 3 1, 4.046 Å, rel. 78
- hkl 1 2 1, 3.460 Å, rel. 68
- hkl 0 0 2, 4.384 Å, rel. 62
- hkl 0 1 1, 7.387 Å, rel. 61
- hkl 0 2 1, 5.400 Å, rel. 54
- hkl 1 2 -1, 3.910 Å, rel. 38


(2)
Simulated X-ray powder pattern
Compound: Rb2CoH8C2O10
Radiation: Cu Kα (λ = 1.5418 Å)
Structure: a crystal structure in the Materials Project, relaxed with PBE+U
Kinematic intensities with the Lorentz-polarization factor, no thermal factor.

Crystal structure
```
data_Rb2CoH8C2O10
_cell_length_a 7.1792
_cell_length_b 6.4836
_cell_length_c 12.4399
_cell_angle_alpha 90.00
_cell_angle_beta 115.25
_cell_angle_gamma 90.00
_space_group_name_H-M_alt 'P 1 21/c 1'
_space_group_IT_number 14
loop_
_space_group_symop_operation_xyz
'x,y,z'
'-x,-y,-z'
'-x,y+1/2,-z+1/2'
'x,-y+1/2,z+1/2'
loop_
_atom_site_label
_atom_site_fract_x
_atom_site_fract_y
_atom_site_fract_z
Rb1 0.2463 0.1540 0.3233
Co1 0.0000 0.0000 0.0000
H1 0.1993 0.7016 0.9830
H2 0.1997 0.6619 0.3701
H3 0.2895 0.1752 0.5841
H4 0.4247 0.1197 0.1186
C1 0.2489 0.6582 0.1798
O1 0.1121 0.7113 0.4104
O2 0.1188 0.6899 0.6507
O3 0.2860 0.1740 0.0643
O4 0.3098 0.5807 0.1032
O5 0.3188 0.5819 0.2867
```

Largest 8 diffraction maxima, by intensity, 2θ = 10–80°:
- hkl 1 0 -4, 3.110 Å, rel. 100
- hkl 2 0 0, 3.246 Å, rel. 76
- hkl 0 2 1, 3.116 Å, rel. 71
- hkl 1 1 -1, 4.782 Å, rel. 54
- hkl 0 1 4, 2.581 Å, rel. 43
- hkl 0 1 2, 4.248 Å, rel. 41
- hkl 2 1 -4, 2.568 Å, rel. 37
- hkl 2 2 1, 2.126 Å, rel. 36


(3)
Simulated X-ray powder pattern
Compound: Fe3P6O20
Radiation: Cu Kα (λ = 1.5418 Å)
Structure: a crystal structure in the Materials Project, relaxed with PBE+U
Kinematic intensities with the Lorentz-polarization factor, no thermal factor.

Crystal structure
```
data_Fe3P6O20
_cell_length_a 10.2502
_cell_length_b 13.4134
_cell_length_c 12.4437
_cell_angle_alpha 90.00
_cell_angle_beta 90.00
_cell_angle_gamma 90.00
_space_group_name_H-M_alt 'C 2 2 21'
_space_group_IT_number 20
loop_
_space_group_symop_operation_xyz
'x,y,z'
'-x,-y,z+1/2'
'x,-y,-z'
'-x,y,-z+1/2'
'x+1/2,y+1/2,z'
'-x+1/2,-y+1/2,z+1/2'
'x+1/2,-y+1/2,-z'
'-x+1/2,y+1/2,-z+1/2'
loop_
_atom_site_label
_atom_site_fract_x
_atom_site_fract_y
_atom_site_fract_z
Fe1 0.0000 0.2048 0.2500
Fe2 0.0000 0.2527 0.7500
Fe3 0.1387 0.5000 0.0000
P1 0.0565 0.2955 0.4864
P2 0.2300 0.3645 0.3200
P3 0.2381 0.4369 0.7736
O1 0.0171 0.2108 0.4111
O2 0.0361 0.3850 0.0176
O3 0.0805 0.2573 0.5996
O4 0.1256 0.1475 0.8017
O5 0.1301 0.3604 0.7850
O6 0.1332 0.1006 0.2310
O7 0.1402 0.3084 0.2454
O8 0.1909 0.4806 0.3147
O9 0.1971 0.3377 0.4431
O10 0.2478 0.0061 0.3810
```

Largest 8 diffraction maxima, by intensity, 2θ = 10–80°:
- hkl 2 2 0, 4.072 Å, rel. 100
- hkl 1 1 2, 4.944 Å, rel. 53
- hkl 0 0 2, 6.222 Å, rel. 46
- hkl 2 2 1, 3.870 Å, rel. 40
- hkl 1 3 1, 3.893 Å, rel. 39
- hkl 1 1 0, 8.144 Å, rel. 37
- hkl 0 0 4, 3.111 Å, rel. 32
- hkl 0 2 0, 6.707 Å, rel. 24


(4)
Simulated X-ray powder pattern
Compound: SrNbFeO6
Radiation: Cu Kα (λ = 1.5418 Å)
Structure: a crystal structure in the Materials Project, relaxed with PBE+U
Kinematic intensities with the Lorentz-polarization factor, no thermal factor.

Crystal structure
```
data_SrNbFeO6
_cell_length_a 5.5848
_cell_length_b 5.5848
_cell_length_c 7.9722
_cell_angle_alpha 90.00
_cell_angle_beta 90.00
_cell_angle_gamma 90.00
_space_group_name_H-M_alt 'I -4'
_space_group_IT_number 82
loop_
_space_group_symop_operation_xyz
'x,y,z'
'y,-x,-z'
'-x,-y,z'
'-y,x,-z'
'x+1/2,y+1/2,z+1/2'
'y+1/2,-x+1/2,-z+1/2'
'-x+1/2,-y+1/2,z+1/2'
'-y+1/2,x+1/2,-z+1/2'
loop_
_atom_site_label
_atom_site_fract_x
_atom_site_fract_y
_atom_site_fract_z
Sr1 0.0000 0.0000 0.0000
Nb1 0.0000 0.5000 0.7500
Fe1 0.0000 0.5000 0.2500
O1 0.0000 0.5000 0.0007
O2 0.2272 0.2316 0.2484
```

Largest 8 diffraction maxima, by intensity, 2θ = 10–80°:
- hkl 1 1 2, 2.805 Å, rel. 100
- hkl 1 0 1, 4.574 Å, rel. 72
- hkl 2 0 0, 2.792 Å, rel. 51
- hkl 2 2 0, 1.975 Å, rel. 45
- hkl 3 1 2, 1.615 Å, rel. 40
- hkl 1 1 0, 3.949 Å, rel. 30
- hkl 1 2 1, 2.383 Å, rel. 27
- hkl 2 2 4, 1.403 Å, rel. 26


(5)
Simulated X-ray powder pattern
Compound: BaCaNi4O12
Radiation: Cu Kα (λ = 1.5418 Å)
Structure: a crystal structure in the Materials Project, relaxed with PBE+U
Kinematic intensities with the Lorentz-polarization factor, no thermal factor.

Crystal structure
```
data_BaCaNi4O12
_cell_length_a 5.5311
_cell_length_b 5.5311
_cell_length_c 7.7504
_cell_angle_alpha 90.00
_cell_angle_beta 90.00
_cell_angle_gamma 90.00
_space_group_name_H-M_alt 'P 4/m m m'
_space_group_IT_number 123
_space_group_name_Hall '-P 4 2'
loop_
_atom_site_label
_atom_site_fract_x
_atom_site_fract_y
_atom_site_fract_z
Ba1 0.0000 0.0000 0.0000
Ca1 0.5000 0.5000 0.5000
Ni1 0.0000 0.5000 0.2518
O1 0.0000 0.5000 0.0000
O2 0.0000 0.5000 0.5000
O3 0.2636 0.2636 0.2673
```

Largest 8 diffraction maxima, by intensity, 2θ = 10–80°:
- hkl 1 1 2, 2.753 Å, rel. 100
- hkl 1 0 1, 4.502 Å, rel. 81
- hkl 2 0 0, 2.766 Å, rel. 51
- hkl 2 2 0, 1.956 Å, rel. 50
- hkl 3 1 2, 1.594 Å, rel. 39
- hkl 2 1 1, 2.356 Å, rel. 28
- hkl 2 2 4, 1.376 Å, rel. 26
- hkl 1 1 0, 3.911 Å, rel. 24


(6)
Simulated X-ray powder pattern
Compound: Ba2MgCrMoO6
Radiation: Cu Kα (λ = 1.5418 Å)
Structure: a crystal structure in the Materials Project, relaxed with PBE+U
Kinematic intensities with the Lorentz-polarization factor, no thermal factor.

Crystal structure
```
data_Ba2MgCrMoO6
_cell_length_a 10.5017
_cell_length_b 6.0728
_cell_length_c 6.5894
_cell_angle_alpha 90.00
_cell_angle_beta 121.54
_cell_angle_gamma 90.00
_space_group_name_H-M_alt 'C 1 m 1'
_space_group_IT_number 8
loop_
_space_group_symop_operation_xyz
'x,y,z'
'x,-y,z'
'x+1/2,y+1/2,z'
'x+1/2,-y+1/2,z'
loop_
_atom_site_label
_atom_site_fract_x
_atom_site_fract_y
_atom_site_fract_z
Ba1 0.0000 0.0000 0.0000
Ba2 0.0866 0.5000 0.7545
Mg1 0.2078 0.0000 0.6204
Cr1 0.3039 0.5000 0.4102
Mo1 0.3897 0.0000 0.1690
O1 0.0289 0.0000 0.6249
O2 0.0700 0.5000 0.1588
O3 0.2938 0.2752 0.1557
O4 0.3005 0.2706 0.6298
```

Largest 8 diffraction maxima, by intensity, 2θ = 10–80°:
- hkl 0 2 0, 3.034 Å, rel. 100
- hkl 1 1 -2, 2.831 Å, rel. 58
- hkl 2 0 1, 2.848 Å, rel. 29
- hkl 2 2 1, 2.077 Å, rel. 23
- hkl 6 0 -2, 1.752 Å, rel. 19
- hkl 0 4 0, 1.517 Å, rel. 19
- hkl 5 1 0, 1.717 Å, rel. 15
- hkl 1 3 -2, 1.711 Å, rel. 15


(7)
Simulated X-ray powder pattern
Compound: Li9Co7O16
Radiation: Cu Kα (λ = 1.5418 Å)
Structure: a crystal structure in the Materials Project, relaxed with PBE+U
Kinematic intensities with the Lorentz-polarization factor, no thermal factor.

Crystal structure
```
data_Li9Co7O16
_cell_length_a 10.1721
_cell_length_b 11.6144
_cell_length_c 5.8488
_cell_angle_alpha 90.00
_cell_angle_beta 124.69
_cell_angle_gamma 90.00
_space_group_name_H-M_alt 'C 1 2/m 1'
_space_group_IT_number 12
loop_
_space_group_symop_operation_xyz
'x,y,z'
'-x,-y,-z'
'-x,y,-z'
'x,-y,z'
'x+1/2,y+1/2,z'
'-x+1/2,-y+1/2,-z'
'-x+1/2,y+1/2,-z'
'x+1/2,-y+1/2,z'
loop_
_atom_site_label
_atom_site_fract_x
_atom_site_fract_y
_atom_site_fract_z
Li1 0.0000 0.0000 0.0000
Li2 0.0000 0.0000 0.5000
Li3 0.0000 0.2515 0.0000
Li4 0.0000 0.5000 0.0000
Li5 0.2461 0.1235 0.9942
Co1 0.0000 0.2482 0.5000
Co2 0.0000 0.5000 0.5000
Co3 0.2448 0.1234 0.4957
O1 0.0054 0.3701 0.2789
O2 0.0064 0.1373 0.2741
O3 0.2310 0.2523 0.7187
O4 0.2428 0.5000 0.2681
O5 0.2485 0.5000 0.7440
```

Largest 8 diffraction maxima, by intensity, 2θ = 10–80°:
- hkl 0 0 1, 4.809 Å, rel. 100
- hkl 2 4 -2, 2.060 Å, rel. 53
- hkl 4 0 0, 2.091 Å, rel. 28
- hkl 2 4 -1, 2.481 Å, rel. 27
- hkl 6 4 -2, 1.463 Å, rel. 22
- hkl 2 4 2, 1.471 Å, rel. 15
- hkl 4 0 -1, 2.510 Å, rel. 14
- hkl 2 4 0, 2.386 Å, rel. 12